# Hf3Hg4As4
Computed PXRD pattern, Cu Kα. Input: a GGA-PBE-relaxed structure.
Peak positions follow from Bragg's law for the DFT cell and can differ from measured ones.

The 10 most intense peaks (2θ = 5–70°), in order of rising 2θ:
| d (Å) | 2theta | intensity |
| --- | --- | --- |
| 3.503 | 25.43 | 27 |
| 3.374 | 26.42 | 28 |
| 2.908 | 30.75 | 34 |
| 2.624 | 34.17 | 59 |
| 2.614 | 34.31 | 53 |
| 2.543 | 35.29 | 100 |
| 2.347 | 38.35 | 33 |
| 2.315 | 38.90 | 56 |
| 2.189 | 41.25 | 53 |
| 1.912 | 47.54 | 48 |

Atomic structure:
a = 7.1812 Å, b = 3.8249 Å, c = 8.7496 Å
α = 90.00°, β = 94.39°, γ = 90.00°
Sites, in units of the cell vectors:
Hf 0.0000 0.0000 0.0000
Hf 0.1737 0.5000 0.5290
Hf 0.6893 0.5000 0.6150
Hg 0.2695 0.5000 0.8715
Hg 0.4791 0.5000 0.3062
Hg 0.5044 0.0000 0.0523
Hg 0.8146 0.0000 0.3288
As 0.0846 0.5000 0.2283
As 0.4271 0.0000 0.6047
As 0.7443 0.5000 0.9199
As 0.9649 0.0000 0.6632



# Cs2ZrAg2Se4
Computed PXRD pattern, Cu Kα. Input: a GGA-PBE-relaxed structure.
Peak positions follow from Bragg's law for the DFT cell and can differ from measured ones.

The 10 most intense peaks (2θ = 5–70°), in order of rising 2θ:
| d (Å) | 2theta | intensity |
| --- | --- | --- |
| 7.312 | 12.10 | 11 |
| 4.300 | 20.65 | 12 |
| 3.306 | 26.97 | 100 |
| 2.917 | 30.65 | 55 |
| 2.453 | 36.64 | 16 |
| 2.400 | 37.47 | 14 |
| 2.249 | 40.08 | 43 |
| 1.935 | 46.96 | 43 |
| 1.861 | 48.95 | 26 |
| 1.419 | 65.83 | 12 |

Atomic structure:
a = 7.9756 Å, b = 7.9756 Å, c = 6.3558 Å
α = 90.07°, β = 90.07°, γ = 47.07°
Sites, in units of the cell vectors:
Cs 0.2502 0.2502 0.2362
Cs 0.7498 0.7498 0.7638
Zr 0.7522 0.2478 0.5000
Ag 0.2517 0.7483 0.5000
Ag 0.7503 0.2497 0.0000
Se 0.0857 0.1210 0.7309
Se 0.4176 0.3748 0.7287
Se 0.6252 0.5824 0.2713
Se 0.8790 0.9143 0.2691



# K2LiCdF6
Computed PXRD pattern, Cu Kα. Input: a GGA-PBE-relaxed structure.
Peak positions follow from Bragg's law for the DFT cell and can differ from measured ones.

The 10 most intense peaks (2θ = 5–70°), in order of rising 2θ:
| d (Å) | 2theta | intensity |
| --- | --- | --- |
| 4.659 | 19.05 | 87 |
| 4.035 | 22.03 | 28 |
| 2.853 | 31.35 | 100 |
| 2.434 | 36.93 | 46 |
| 2.018 | 44.93 | 65 |
| 1.854 | 49.14 | 16 |
| 1.849 | 49.29 | 15 |
| 1.646 | 55.86 | 27 |
| 1.429 | 65.31 | 18 |
| 1.425 | 65.52 | 18 |

Atomic structure:
a = 5.7147 Å, b = 5.7147 Å, c = 5.7147 Å
α = 59.81°, β = 59.81°, γ = 59.81°
Sites, in units of the cell vectors:
K 0.2501 0.2501 0.2501
K 0.7499 0.7499 0.7499
Li 0.0000 0.0000 0.0000
Cd 0.5000 0.5000 0.5000
F 0.2378 0.2398 0.7606
F 0.2394 0.7623 0.7602
F 0.2398 0.7606 0.2378
F 0.7602 0.2394 0.7622
F 0.7606 0.2378 0.2398
F 0.7622 0.7602 0.2394



# Co3AgSb5
Computed PXRD pattern, Cu Kα. Input: a GGA-PBE-relaxed structure.
Peak positions follow from Bragg's law for the DFT cell and can differ from measured ones.

The 10 most intense peaks (2θ = 5–70°), in order of rising 2θ:
| d (Å) | 2theta | intensity |
| --- | --- | --- |
| 2.958 | 30.22 | 100 |
| 2.625 | 34.16 | 97 |
| 2.596 | 34.55 | 14 |
| 2.182 | 41.38 | 15 |
| 2.177 | 41.49 | 21 |
| 1.963 | 46.24 | 80 |
| 1.947 | 46.64 | 19 |
| 1.572 | 58.73 | 29 |
| 1.564 | 59.07 | 27 |
| 1.515 | 61.15 | 18 |

Atomic structure:
a = 5.2498 Å, b = 5.2498 Å, c = 7.7891 Å
α = 90.00°, β = 90.00°, γ = 120.00°
Sites, in units of the cell vectors:
Co 0.0000 0.5000 0.0000
Co 0.5000 0.0000 0.0000
Co 0.5000 0.5000 0.0000
Ag 0.0000 0.0000 0.5000
Sb 0.0000 0.0000 0.0000
Sb 0.3333 0.6667 0.2778
Sb 0.3333 0.6667 0.7222
Sb 0.6667 0.3333 0.2778
Sb 0.6667 0.3333 0.7222



# GdMgZn
Computed PXRD pattern, Cu Kα. Input: a GGA-PBE-relaxed structure.
Peak positions follow from Bragg's law for the DFT cell and can differ from measured ones.

The 10 most intense peaks (2θ = 5–70°), in order of rising 2θ:
| d (Å) | 2theta | intensity |
| --- | --- | --- |
| 7.691 | 11.51 | 100 |
| 2.816 | 31.77 | 81 |
| 2.696 | 33.24 | 34 |
| 2.629 | 34.11 | 44 |
| 2.520 | 35.63 | 35 |
| 2.501 | 35.91 | 51 |
| 2.262 | 39.85 | 29 |
| 2.065 | 43.85 | 22 |
| 1.551 | 59.60 | 19 |
| 1.431 | 65.18 | 27 |

Atomic structure:
a = 6.5129 Å, b = 6.5129 Å, c = 15.3812 Å
α = 90.00°, β = 90.00°, γ = 118.39°
Sites, in units of the cell vectors:
Gd 0.1231 0.8769 0.5000
Gd 0.1282 0.3769 0.4476
Gd 0.3716 0.6284 0.0089
Gd 0.3769 0.1282 0.9476
Gd 0.6231 0.8718 0.4476
Gd 0.6284 0.3716 0.5089
Gd 0.8718 0.6231 0.9476
Gd 0.8769 0.1231 0.0000
Mg 0.1221 0.8779 0.7604
Mg 0.1288 0.3796 0.8081
Mg 0.3727 0.6273 0.2525
Mg 0.3796 0.1288 0.3081
Mg 0.6204 0.8712 0.8081
Mg 0.6273 0.3727 0.7525
Mg 0.8712 0.6204 0.3081
Mg 0.8779 0.1221 0.2604
Zn 0.0380 0.5138 0.6390
Zn 0.2229 0.2466 0.6386
Zn 0.2466 0.2229 0.1386
Zn 0.4862 0.9620 0.6390
Zn 0.5138 0.0380 0.1390
Zn 0.7534 0.7771 0.6386
Zn 0.7771 0.7534 0.1386
Zn 0.9620 0.4862 0.1390



# GeB4Mo
Computed PXRD pattern, Cu Kα. Input: a GGA-PBE-relaxed structure.
Peak positions follow from Bragg's law for the DFT cell and can differ from measured ones.

The 10 most intense peaks (2θ = 5–70°), in order of rising 2θ:
| d (Å) | 2theta | intensity |
| --- | --- | --- |
| 7.389 | 11.98 | 10 |
| 3.694 | 24.09 | 41 |
| 2.621 | 34.21 | 64 |
| 2.470 | 36.37 | 2 |
| 2.138 | 42.28 | 100 |
| 1.847 | 49.34 | 11 |
| 1.795 | 50.88 | 1 |
| 1.513 | 61.26 | 18 |
| 1.510 | 61.41 | 24 |
| 1.400 | 66.81 | 16 |

Atomic structure:
a = 3.0263 Å, b = 3.0263 Å, c = 7.3886 Å
α = 90.00°, β = 90.00°, γ = 120.00°
Sites, in units of the cell vectors:
Ge 0.0000 0.0000 0.0000
B 0.3333 0.6667 0.2748
B 0.3333 0.6667 0.7252
B 0.6667 0.3333 0.2748
B 0.6667 0.3333 0.7252
Mo 0.0000 0.0000 0.5000



# KNa2CdF6
Computed PXRD pattern, Cu Kα. Input: a GGA-PBE-relaxed structure.
Peak positions follow from Bragg's law for the DFT cell and can differ from measured ones.

The 10 most intense peaks (2θ = 5–70°), in order of rising 2θ:
| d (Å) | 2theta | intensity |
| --- | --- | --- |
| 4.925 | 18.01 | 100 |
| 4.879 | 18.18 | 33 |
| 4.242 | 20.94 | 86 |
| 4.223 | 21.04 | 53 |
| 3.033 | 29.45 | 43 |
| 3.003 | 29.75 | 86 |
| 2.989 | 29.90 | 56 |
| 2.970 | 30.09 | 65 |
| 1.745 | 52.44 | 48 |
| 1.724 | 53.11 | 32 |

Atomic structure:
a = 5.9378 Å, b = 5.9566 Å, c = 5.9789 Å
α = 61.10°, β = 60.58°, γ = 60.62°
Sites, in units of the cell vectors:
K 0.0000 0.0000 0.0000
Na 0.2495 0.2998 0.2568
Na 0.7505 0.7002 0.7432
Cd 0.5000 0.5000 0.5000
F 0.1624 0.3728 0.6416
F 0.2755 0.9041 0.2924
F 0.3591 0.6130 0.8445
F 0.6409 0.3870 0.1555
F 0.7245 0.0959 0.7076
F 0.8376 0.6272 0.3584